FeSbO4: simulated PXRD pattern (Cu Kα (λ = 1.5418 Å)), based on a cell relaxed with GGA+U.

Structure:
Cell lengths 6.6169, 6.7066, 9.3553 Å; angles 90.00, 90.00, 90.00 degrees
Space group Cmm2 (No. 35)
One atom of each set of equivalent atoms:
Fe: 0.0000 0.0000 0.0000 (multiplicity 2)
Fe: 0.0000 0.0000 0.3233 (multiplicity 2)
Fe: 0.0000 0.5000 0.4852 (multiplicity 2)
Sb: 0.0000 0.0000 0.6540 (multiplicity 2)
Sb: 0.0000 0.5000 0.1638 (multiplicity 2)
Sb: 0.0000 0.5000 0.8255 (multiplicity 2)
O: 0.0000 0.3046 0.3224 (multiplicity 4)
O: 0.0000 0.3055 0.6640 (multiplicity 4)
O: 0.0000 0.3085 0.9904 (multiplicity 4)
O: 0.1934 0.0000 0.8235 (multiplicity 4)
O: 0.1952 0.0000 0.4961 (multiplicity 4)
O: 0.1976 0.0000 0.1559 (multiplicity 4)

Peak list (10 most intense, 15° ≤ 2θ ≤ 90°, in order of falling intensity)
34.49°, I 100; 26.94°, I 76; 26.58°, I 72; 52.63°, I 46; 52.21°, I 46; 66.70°, I 29; 38.21°, I 26; 21.12°, I 18; 54.75°, I 12; 59.26°, I 11



FeSbO4: simulated PXRD pattern (Cu Kα (λ = 1.5418 Å)), based on a cell relaxed with GGA+U.

Structure:
Cell lengths 6.6403, 6.6403, 6.2466 Å; angles 90.00, 90.00, 90.00 degrees
Space group I4_1md (No. 109)
One atom of each set of equivalent atoms:
Fe: 0.0000 0.0000 0.0000 (multiplicity 4)
Sb: 0.0000 0.0000 0.5172 (multiplicity 4)
O: 0.0000 0.3034 0.0060 (multiplicity 8)
O: 0.0000 0.3084 0.5148 (multiplicity 8)

Peak list (10 most intense, 15° ≤ 2θ ≤ 90°, in order of falling intensity)
26.85°, I 100; 34.49°, I 71; 52.51°, I 63; 19.51°, I 23; 66.86°, I 20; 38.34°, I 18; 55.34°, I 16; 66.12°, I 14; 62.56°, I 13; 33.41°, I 12